[1]
Tb3Be2Ir5: computed powder XRD pattern (Cu Kα (weighted mean of Kα1 and Kα2)), based on a crystal structure in Alexandria, relaxed with GGA-PBE.
Kinematic intensities with the Lorentz-polarization factor, no thermal factor.

Crystal structure
```
Tb3Be2Ir5
1.0
9.864 0.000 0.000
0.000 9.864 0.000
0.000 0.000 3.405
Tb Be Ir
6 4 10
Direct
0.000 0.000 0.000
0.176 0.324 0.000
0.324 0.824 0.000
0.500 0.500 0.000
0.676 0.176 0.000
0.824 0.676 0.000
0.119 0.619 0.000
0.381 0.119 0.000
0.619 0.881 0.000
0.881 0.381 0.000
0.000 0.500 0.500
0.070 0.775 0.500
0.225 0.070 0.500
0.275 0.570 0.500
0.430 0.275 0.500
0.500 0.000 0.500
0.570 0.725 0.500
0.725 0.430 0.500
0.775 0.930 0.500
0.930 0.225 0.500
```

Largest 8 diffraction maxima, sorted by position, 2θ = 10–90°:
2θ (°), I/Imax
33.24, 81
36.90, 43
37.60, 75
39.17, 100
40.92, 48
42.38, 37
53.85, 26
67.53, 27

***

[2]
PrSi3Tc5: computed powder XRD pattern (Cu Kα (weighted mean of Kα1 and Kα2)), based on a crystal structure in Alexandria, relaxed with GGA-PBE.
Kinematic intensities with the Lorentz-polarization factor, no thermal factor.

Crystal structure
```
PrSi3Tc5
1.0
2.057 -6.390 0.000
2.057 6.390 0.000
0.000 0.000 11.596
Pr Si Tc
2 6 10
Direct
0.170 0.830 0.750
0.830 0.170 0.250
0.128 0.872 0.250
0.382 0.618 0.060
0.382 0.618 0.440
0.618 0.382 0.560
0.618 0.382 0.940
0.872 0.128 0.750
0.000 0.000 0.000
0.000 0.000 0.500
0.194 0.806 0.047
0.194 0.806 0.453
0.446 0.554 0.648
0.446 0.554 0.852
0.554 0.446 0.148
0.554 0.446 0.352
0.806 0.194 0.547
0.806 0.194 0.953
```

Largest 8 diffraction maxima, sorted by position, 2θ = 10–90°:
2θ (°), I/Imax
26.96, 31
28.99, 39
30.20, 66
32.55, 78
34.00, 45
38.64, 100
41.60, 55
44.02, 66

***

[3]
Pb3Cl5F: computed powder XRD pattern (Cu Kα (weighted mean of Kα1 and Kα2)), based on a crystal structure in Alexandria, relaxed with GGA-PBE.
Kinematic intensities with the Lorentz-polarization factor, no thermal factor.

Crystal structure
```
Pb3Cl5F
1.0
6.285 -4.832 0.000
6.285 4.832 0.000
-3.162 0.000 9.221
Pb Cl F
6 10 2
Direct
0.000 0.000 0.000
0.000 0.000 0.500
0.291 0.291 0.371
0.343 0.343 0.834
0.657 0.657 0.166
0.709 0.709 0.629
0.008 0.622 0.365
0.240 0.240 0.067
0.297 0.703 0.000
0.378 0.992 0.635
0.476 0.476 0.657
0.524 0.524 0.343
0.622 0.008 0.365
0.703 0.297 0.000
0.760 0.760 0.933
0.992 0.378 0.635
0.077 0.077 0.286
0.923 0.923 0.714
```

Largest 8 diffraction maxima, sorted by position, 2θ = 10–90°:
2θ (°), I/Imax
18.36, 100
20.18, 64
24.27, 60
24.65, 77
27.42, 35
35.92, 36
36.19, 44
37.22, 29

***

[4]
CaPm2Os: computed powder XRD pattern (Cu Kα (weighted mean of Kα1 and Kα2)), based on a crystal structure in Alexandria, relaxed with GGA-PBE.
Kinematic intensities with the Lorentz-polarization factor, no thermal factor.

Crystal structure
```
CaPm2Os
1.0
7.557 0.000 0.000
0.000 9.362 0.000
0.000 0.000 6.501
Ca Pm Os
4 8 4
Direct
0.042 0.250 0.132
0.458 0.750 0.632
0.542 0.250 0.368
0.958 0.750 0.868
0.173 0.063 0.668
0.173 0.437 0.668
0.327 0.563 0.168
0.327 0.937 0.168
0.673 0.063 0.832
0.673 0.437 0.832
0.827 0.563 0.332
0.827 0.937 0.332
0.106 0.750 0.437
0.394 0.250 0.937
0.606 0.750 0.063
0.894 0.250 0.563
```

Largest 8 diffraction maxima, sorted by position, 2θ = 10–90°:
2θ (°), I/Imax
16.60, 76
18.00, 100
31.45, 62
33.45, 79
33.56, 39
34.00, 75
35.66, 62
37.37, 80

***

[5]
Tb6As2S3: computed powder XRD pattern (Cu Kα (weighted mean of Kα1 and Kα2)), based on a crystal structure in Alexandria, relaxed with GGA-PBE.
Kinematic intensities with the Lorentz-polarization factor, no thermal factor.

Crystal structure
```
Tb6As2S3
1.0
6.756 0.000 0.000
-3.378 5.851 0.000
0.000 0.000 6.788
Tb As S
6 2 3
Direct
0.000 0.331 0.253
0.000 0.669 0.747
0.331 0.000 0.253
0.331 0.331 0.747
0.669 0.000 0.747
0.669 0.669 0.253
0.333 0.667 0.000
0.667 0.333 0.000
0.000 0.000 0.000
0.333 0.667 0.500
0.667 0.333 0.500
```

Largest 8 diffraction maxima, sorted by position, 2θ = 10–90°:
2θ (°), I/Imax
26.26, 15
29.54, 100
37.57, 40
46.57, 30
48.42, 25
54.25, 14
56.11, 17
74.05, 15

***

[6]
Pr3NiBr: computed powder XRD pattern (Cu Kα (weighted mean of Kα1 and Kα2)), based on a crystal structure in Alexandria, relaxed with GGA-PBE.
Kinematic intensities with the Lorentz-polarization factor, no thermal factor.

Crystal structure
```
Pr3NiBr
1.0
3.825 0.000 0.000
0.000 9.946 0.000
0.000 0.000 8.163
Pr Ni Br
6 2 2
Direct
0.250 0.074 0.172
0.250 0.250 0.763
0.250 0.426 0.172
0.750 0.574 0.828
0.750 0.750 0.237
0.750 0.926 0.828
0.250 0.750 0.997
0.750 0.250 0.003
0.250 0.750 0.556
0.750 0.250 0.444
```

Largest 8 diffraction maxima, sorted by position, 2θ = 10–90°:
2θ (°), I/Imax
10.84, 52
29.07, 76
31.48, 100
32.07, 32
33.34, 95
34.86, 35
35.84, 28
56.84, 26

***

[7]
LiCdP2: computed powder XRD pattern (Cu Kα (weighted mean of Kα1 and Kα2)), based on a crystal structure in Alexandria, relaxed with GGA-PBE.
Kinematic intensities with the Lorentz-polarization factor, no thermal factor.

Crystal structure
```
LiCdP2
1.0
3.294 0.000 0.000
0.000 4.199 0.000
0.000 0.000 10.632
Li Cd P
2 2 4
Direct
0.000 0.000 0.000
0.500 0.500 0.500
0.000 0.500 0.216
0.500 0.000 0.716
0.000 0.000 0.490
0.000 0.500 0.840
0.500 0.000 0.340
0.500 0.500 0.990
```

Largest 8 diffraction maxima, sorted by position, 2θ = 10–90°:
2θ (°), I/Imax
16.68, 57
22.77, 97
28.36, 38
33.08, 51
34.61, 34
37.27, 54
38.65, 100
58.25, 28

***

[8]
Ti11Ni4Pd9: computed powder XRD pattern (Cu Kα (weighted mean of Kα1 and Kα2)), based on a crystal structure in Alexandria, relaxed with GGA-PBE.
Kinematic intensities with the Lorentz-polarization factor, no thermal factor.

Crystal structure
```
Ti11Ni4Pd9
1.0
6.484 -9.650 0.000
6.484 9.650 0.000
0.000 0.000 2.884
Ti Ni Pd
11 4 9
Direct
0.000 0.000 0.000
0.065 0.412 0.000
0.158 0.842 0.000
0.301 0.301 0.000
0.367 0.633 0.000
0.412 0.065 0.000
0.588 0.935 0.000
0.633 0.367 0.000
0.699 0.699 0.000
0.842 0.158 0.000
0.935 0.588 0.000
0.253 0.451 0.500
0.451 0.253 0.500
0.549 0.747 0.500
0.747 0.549 0.500
0.072 0.219 0.500
0.155 0.631 0.500
0.219 0.072 0.500
0.369 0.845 0.500
0.500 0.500 0.500
0.631 0.155 0.500
0.781 0.928 0.500
0.845 0.369 0.500
0.928 0.781 0.500
```

Largest 8 diffraction maxima, sorted by position, 2θ = 10–90°:
2θ (°), I/Imax
31.02, 30
39.46, 100
41.93, 80
42.08, 81
42.74, 21
42.88, 24
51.02, 21
78.45, 25

***

[9]
Sr2PmSnS5: computed powder XRD pattern (Cu Kα (weighted mean of Kα1 and Kα2)), based on a crystal structure in Alexandria, relaxed with GGA-PBE.
Kinematic intensities with the Lorentz-polarization factor, no thermal factor.

Crystal structure
```
Sr2PmSnS5
1.0
2.115 -8.732 0.000
2.115 8.732 0.000
0.000 0.000 12.624
Sr Pm Sn S
4 2 2 10
Direct
0.110 0.890 0.500
0.136 0.864 0.118
0.864 0.136 0.618
0.890 0.110 0.000
0.215 0.785 0.830
0.785 0.215 0.330
0.468 0.532 0.271
0.532 0.468 0.771
0.052 0.948 0.883
0.282 0.718 0.479
0.319 0.681 0.185
0.371 0.629 0.814
0.492 0.508 0.581
0.508 0.492 0.081
0.629 0.371 0.314
0.681 0.319 0.685
0.718 0.282 0.979
0.948 0.052 0.383
```

Largest 8 diffraction maxima, sorted by position, 2θ = 10–90°:
2θ (°), I/Imax
23.47, 33
24.80, 36
25.86, 44
26.04, 42
30.40, 100
31.54, 69
42.74, 42
44.56, 40

***

[10]
Rb2NaAuCl6: computed powder XRD pattern (Cu Kα (weighted mean of Kα1 and Kα2)), based on a crystal structure in Alexandria, relaxed with GGA-PBE.
Kinematic intensities with the Lorentz-polarization factor, no thermal factor.

Crystal structure
```
Rb2NaAuCl6
1.0
-3.633 3.633 5.834
3.633 -3.633 5.834
3.633 3.633 -5.834
Rb Na Au Cl
2 1 1 6
Direct
0.250 0.750 0.500
0.750 0.250 0.500
0.000 0.000 0.000
0.500 0.500 0.000
0.225 0.225 0.000
0.274 0.274 0.547
0.274 0.726 0.000
0.726 0.274 0.000
0.726 0.726 0.453
0.775 0.775 0.000
```

Largest 8 diffraction maxima, sorted by position, 2θ = 10–90°:
2θ (°), I/Imax
14.36, 90
23.07, 100
24.51, 43
25.98, 36
30.65, 42
34.93, 58
42.28, 40
47.14, 46

***

[11]
NdSmScSn: computed powder XRD pattern (Cu Kα (weighted mean of Kα1 and Kα2)), based on a crystal structure in Alexandria, relaxed with GGA-PBE.
Kinematic intensities with the Lorentz-polarization factor, no thermal factor.

Crystal structure
```
NdSmScSn
1.0
7.668 0.000 0.000
0.000 7.668 0.000
0.000 0.000 7.668
Nd Sm Sc Sn
4 4 4 4
Direct
0.000 0.000 0.000
0.000 0.500 0.500
0.500 0.000 0.500
0.500 0.500 0.000
0.000 0.000 0.500
0.000 0.500 0.000
0.500 0.000 0.000
0.500 0.500 0.500
0.250 0.250 0.250
0.250 0.750 0.750
0.750 0.250 0.750
0.750 0.750 0.250
0.250 0.250 0.750
0.250 0.750 0.250
0.750 0.250 0.250
0.750 0.750 0.750
```

Largest 8 diffraction maxima, sorted by position, 2θ = 10–90°:
2θ (°), I/Imax
20.06, 6
23.20, 9
33.04, 100
47.42, 18
59.01, 38
69.32, 12
78.97, 16
88.30, 4

***

[12]
Dy3Au5: computed powder XRD pattern (Cu Kα (weighted mean of Kα1 and Kα2)), based on a crystal structure in Alexandria, relaxed with GGA-PBE.
Kinematic intensities with the Lorentz-polarization factor, no thermal factor.

Crystal structure
```
Dy3Au5
1.0
7.459 0.000 0.000
-3.730 6.460 0.000
0.000 0.000 3.736
Dy Au
3 5
Direct
0.000 0.620 0.000
0.380 0.380 0.000
0.620 0.000 0.000
0.000 0.232 0.500
0.232 0.000 0.500
0.333 0.667 0.500
0.667 0.333 0.500
0.768 0.768 0.500
```

Largest 8 diffraction maxima, sorted by position, 2θ = 10–90°:
2θ (°), I/Imax
33.97, 100
36.80, 94
41.96, 26
44.32, 32
48.77, 24
62.63, 35
66.26, 21
71.53, 27